For Mg7In12Ga, a DFT-relaxed cell (PBE, Alexandria) gives the theoretical powder diffractogram in this record (λ = 1.5418 Å (Cu Kα)).
Intensities are scaled so that the largest is 100.

The 10 most intense peaks (15° ≤ 2θ ≤ 90°), sorted by position:
2θ (°)  I (rel.)  (hkl)
26.06  52  -1 1 2
26.39  100  1 -2 2
30.13  10  1 0 -3
30.63  9  1 -3 2
36.51  37  2 0 1
37.19  36  2 -3 0
37.43  59  2 1 -3
37.67  21  0 1 -4
38.78  20  0 4 -3
45.20  14  -3 1 1

Cell and atoms:
```
data_Mg7In12Ga
_cell_length_a 6.018
_cell_length_b 9.925
_cell_length_c 10.010
_cell_angle_alpha 114.40
_cell_angle_beta 100.81
_cell_angle_gamma 101.68
_symmetry_space_group_name_H-M 'P -1'
_symmetry_Int_Tables_number 2
loop_
_symmetry_equiv_pos_as_xyz
'x,y,z'
'-x,-y,-z'
loop_
_atom_site_label
_atom_site_type_symbol
_atom_site_fract_x
_atom_site_fract_y
_atom_site_fract_z
_atom_site_occupancy
Mg1 Mg 0.000 0.000 0.000 1
Mg2 Mg 0.157 0.780 0.716 1
Mg3 Mg 0.381 0.940 0.226 1
Mg4 Mg 0.457 0.292 0.065 1
In1 In 0.015 0.643 0.936 1
In2 In 0.099 0.084 0.718 1
In3 In 0.147 0.445 0.626 1
In4 In 0.287 0.830 0.453 1
In5 In 0.387 0.302 0.374 1
In6 In 0.456 0.626 0.190 1
Ga1 Ga 0.500 0.000 0.000 1
```